Theoretical PXRD pattern of AcNiB4 for Cu Kα, 1.54184 Å, from the PBE geometry in OQMD.
Intensities are scaled so that the largest is 100.

Peak list (12 most intense, 10 to 90 degrees two-theta, by angle)
| two_theta | intensity |
| --- | --- |
| 12.55 | 58 |
| 25.26 | 47 |
| 31.78 | 83 |
| 34.29 | 49 |
| 41.02 | 100 |
| 50.58 | 13 |
| 56.62 | 22 |
| 62.12 | 28 |
| 62.96 | 24 |
| 72.26 | 19 |
| 80.34 | 13 |
| 88.98 | 11 |

Structure:
```
data_AcNiB4
_space_group_name_H-M_alt 'P 6/m m m'
_space_group_IT_number 191
_space_group_name_Hall '-P 6 2'
_cell_length_a 3.2511
_cell_length_b 3.2511
_cell_length_c 7.0524
_cell_angle_alpha 90.00
_cell_angle_beta 90.00
_cell_angle_gamma 120.00
loop_
_atom_site_label
_atom_site_type_symbol
_atom_site_fract_x
_atom_site_fract_y
_atom_site_fract_z
_atom_site_occupancy
Ac1 Ac 0.0000 0.0000 0.0000 1
Ni1 Ni 0.0000 0.0000 0.5000 1
B1 B 0.3333 0.6667 0.3206 1
```